No. 1
# Ho3Tm2Ag3
Theoretical powder diffractogram, Cu Kα. Input: a structure optimized by DFT (PBE).
Lines closer than 0.1° are merged.

Top 6 peaks for 2θ from 5° to 70°, low angle first:
Position (°2θ)  intensity  index
33.5  22  0 0 8
34.3  27  0 2 0
34.5  100  1 1 4
48.7  15  0 2 8
60.5  11  1 1 12
61.6  18  1 3 4

Cell and atoms:
Cell lengths 3.6221, 5.2258, 21.4006 Å; angles 90.00, 90.00, 90.00 degrees
Space group Immm (No. 71)
Asymmetric unit:
1 Ho 0.0000 0.0000 0.0000 [2 per cell]
2 Ho 0.0000 0.5000 0.1212 [4 per cell]
3 Tm 0.0000 0.0000 0.2315 [4 per cell]
4 Ag 0.0000 0.0000 0.5000 [2 per cell]
5 Ag 0.0000 0.5000 0.3821 [4 per cell]


No. 2
# HoMg8Pt2
Theoretical powder diffractogram, Cu Kα. Input: a structure optimized by DFT (PBE).
Lines closer than 0.1° are merged.

Top 6 peaks for 2θ from 5° to 70°, low angle first:
Position (°2θ)  intensity  index
19.9  57  1 1 -1
22.4  88  2 0 0
22.9  94  0 2 1
24.7  100  1 3 0
35.1  72  2 2 1
40.7  47  3 3 0

Cell and atoms:
Cell lengths 8.1821, 12.1342, 5.1900 Å; angles 90.00, 103.60, 90.00 degrees
Space group C2/m (No. 12)
Asymmetric unit:
1 Ho 0.0000 0.0000 0.0000 [2 per cell]
2 Mg 0.0000 0.2672 0.0000 [4 per cell]
3 Mg 0.0921 0.5000 0.7773 [4 per cell]
4 Mg 0.1981 0.1298 0.5763 [8 per cell]
5 Pt 0.0000 0.3100 0.5000 [4 per cell]